Simulated powder diffraction line list of InNi2Br for a wavelength of 1.5418 Å, from DFT lattice parameters and positions (PBE).

Most intense lines, 10° ≤ 2θ ≤ 90°, by angle:
2θ (°), I/Imax, (hkl)
16.25, 596, 0 0 1
30.22, 716, 0 1 1
30.42, 543, 1 0 1
32.85, 506, 0 0 2
34.28, 1000, 1 1 0
36.26, 574, 1 1 -1
45.05, 965, 1 1 -2
46.44, 562, 2 0 0
51.21, 676, 1 1 2
51.96, 381, 0 2 0

Crystal structure
```
InNi2Br
1.0
3.975 0.000 0.000
0.000 3.520 0.000
-0.995 0.000 5.453
In Ni Br
1 2 1
Cartesian
0.000 0.000 0.000
1.050 0.000 3.833
1.942 1.760 0.108
1.760 1.760 2.470
```